No. 1
Theoretical PXRD pattern of NiHgBr for Cu Ka, from a DFT-relaxed cell (PBE, Alexandria).

```
NiHgBr
1.0
3.7828 0.0000 0.0000
0.0000 4.6730 0.0000
-0.0093 0.0000 3.8517
Ni Hg Br
1 1 1
Direct
0.0000 0.0000 0.0000
0.4877 0.0000 0.5017
0.9102 0.5000 0.0110
```

Peak list (8 most intense, 15° ≤ 2θ ≤ 90°, by angle)
2θ 19.0, d 4.673, rel. 56
2θ 30.1, d 2.972, rel. 53
2θ 30.4, d 2.940, rel. 49
2θ 33.2, d 2.699, rel. 100
2θ 38.5, d 2.337, rel. 81
2θ 47.2, d 1.926, rel. 19
2θ 51.8, d 1.766, rel. 57
2θ 62.5, d 1.486, rel. 17

=====

No. 2
Theoretical PXRD pattern of H for Cu Ka, from a DFT-relaxed cell (PBE, Alexandria).

```
H
1.0
2.9623 0.0000 0.0000
0.0000 2.9623 0.0000
0.0000 0.0000 2.9623
H
8
Direct
0.1250 0.1250 0.1250
0.1250 0.6250 0.6250
0.3750 0.3750 0.8750
0.3750 0.8750 0.3750
0.6250 0.1250 0.6250
0.6250 0.6250 0.1250
0.8750 0.3750 0.3750
0.8750 0.8750 0.8750
```

Peak list (1 most intense, 15° ≤ 2θ ≤ 90°, by angle)
2θ 53.6, d 1.710, rel. 100

=====

No. 3
Theoretical PXRD pattern of Th3Si2Au3 for Cu Ka, from a DFT-relaxed cell (PBE, Alexandria).

```
Th3Si2Au3
1.0
2.1923 -5.4859 0.0000
2.1923 5.4859 0.0000
0.0000 0.0000 15.2577
Th Si Au
6 4 6
Direct
0.0846 0.9154 0.6039
0.0846 0.9154 0.8961
0.3637 0.6363 0.7500
0.6363 0.3637 0.2500
0.9154 0.0846 0.1039
0.9154 0.0846 0.3961
0.2028 0.7972 0.1114
0.2028 0.7972 0.3886
0.7972 0.2028 0.6114
0.7972 0.2028 0.8886
0.3595 0.6405 0.2500
0.3747 0.6253 0.5379
0.3747 0.6253 0.9621
0.6253 0.3747 0.0379
0.6253 0.3747 0.4621
0.6405 0.3595 0.7500
```

Peak list (8 most intense, 15° ≤ 2θ ≤ 90°, by angle)
2θ 28.1, d 3.178, rel. 25
2θ 31.9, d 2.809, rel. 29
2θ 32.2, d 2.784, rel. 100
2θ 32.4, d 2.762, rel. 24
2θ 32.6, d 2.743, rel. 40
2θ 36.5, d 2.459, rel. 42
2θ 39.9, d 2.262, rel. 31
2θ 41.2, d 2.192, rel. 37